Simulated powder X-ray diffraction pattern
Compound: Dy3In3Ag2Au
Radiation: a wavelength of 1.5418 Å
Structure: a crystal structure in OQMD, relaxed with PBE
Kinematic intensities with the Lorentz-polarization factor, no thermal factor.

Structure:
Unit cell a=7.8409 b=7.8409 c=3.9380 alpha=90.00 beta=90.00 gamma=120.00
Space group P-62m (No. 189)
Unique sites:
Dy: 0.0000 0.3998 0.0000 x3
In: 0.0000 0.7349 0.5000 x3
Ag: 0.3333 0.6667 0.5000 x2
Au: 0.0000 0.0000 0.0000 x1

Top 10 peaks for 2θ from 15° to 90°, sorted by position:
two_theta  I/Imax  hkl
26.2  13.0  2 0 0
32.2  70.7  1 1 1
34.9  100.0  2 0 1
39.8  40.8  3 0 0
42.0  26.1  2 1 1
46.1  18.7  0 0 2
59.1  11.7  2 1 2
62.5  21.2  3 0 2
64.3  28.9  3 2 1
73.8  14.8  5 0 1

=====

Simulated powder X-ray diffraction pattern
Compound: Tb2DyMg3AgAu2
Radiation: a wavelength of 1.5418 Å
Structure: a crystal structure in OQMD, relaxed with PBE
Kinematic intensities with the Lorentz-polarization factor, no thermal factor.

Structure:
Unit cell a=3.993 b=13.431 c=7.753 alpha=90.00 beta=90.00 gamma=90.00
Space group Amm2 (No. 38)
Unique sites:
Tb: 0.000 0.207 0.000 x4
Dy: 0.000 0.000 0.622 x2
Mg: 0.500 0.000 0.956 x2
Mg: 0.500 0.125 0.333 x4
Ag: 0.000 0.000 0.208 x2
Au: 0.500 0.166 0.707 x4

Top 10 peaks for 2θ from 15° to 90°, sorted by position:
two_theta  I/Imax  hkl
22.9  49.2  0 0 2
32.2  98.2  1 3 1
34.9  100.0  1 4 0
35.4  22.9  0 1 3
40.3  40.4  0 6 0
42.2  30.3  1 4 2
45.4  21.6  2 0 0
48.9  20.1  0 7 1
62.3  22.3  2 6 0
64.9  25.5  1 7 3

=====

Simulated powder X-ray diffraction pattern
Compound: Er2Ag3Au
Radiation: a wavelength of 1.5418 Å
Structure: a crystal structure in OQMD, relaxed with PBE
Kinematic intensities with the Lorentz-polarization factor, no thermal factor.

Structure:
Unit cell a=3.701 b=3.701 c=9.136 alpha=90.00 beta=90.00 gamma=90.00
Space group P4mm (No. 99)
Unique sites:
Er: 0.000 0.000 0.000 x1
Er: 0.500 0.500 0.490 x1
Ag: 0.000 0.000 0.669 x1
Ag: 0.500 0.500 0.162 x1
Ag: 0.500 0.500 0.827 x1
Au: 0.000 0.000 0.335 x1

Top 10 peaks for 2θ from 15° to 90°, sorted by position:
two_theta  I/Imax  hkl
34.3  68.2  1 1 0
38.3  100.0  1 0 3
49.2  24.3  2 0 0
60.8  6.2  0 0 6
64.0  43.2  2 1 3
71.7  15.1  1 1 6
72.2  7.6  2 2 0
81.9  10.7  2 0 6
82.4  10.8  3 1 0
84.8  10.1  3 0 3

=====

Simulated powder X-ray diffraction pattern
Compound: AgAuF7
Radiation: a wavelength of 1.5418 Å
Structure: a crystal structure in OQMD, relaxed with PBE
Kinematic intensities with the Lorentz-polarization factor, no thermal factor.

Structure:
Unit cell a=7.286 b=6.873 c=9.795 alpha=90.00 beta=90.00 gamma=90.00
Space group Pnma (No. 62)
Unique sites:
Ag: 0.134 0.250 0.243 x4
Au: 0.193 0.750 0.062 x4
F: 0.057 0.250 0.012 x4
F: 0.061 0.250 0.632 x4
F: 0.111 0.750 0.661 x4
F: 0.113 0.559 0.196 x8
F: 0.232 0.053 0.429 x8

Top 10 peaks for 2θ from 15° to 90°, sorted by position:
two_theta  I/Imax  hkl
15.2  15.8  1 0 1
19.9  100.0  1 1 1
21.9  27.3  1 0 2
25.9  42.9  0 2 0
26.1  27.8  2 0 1
30.3  47.0  0 1 3
33.3  27.6  2 1 2
34.2  25.3  1 2 2
47.3  15.6  1 2 4
48.5  20.4  0 3 3